Simulated powder X-ray diffraction pattern of Rb2In2Ag3 for Cu Kα (weighted mean of Kα1 and Kα2), from a GGA-PBE-relaxed structure.
Intensities are scaled so that the largest is 100.

The 8 most intense peaks (2θ = 5–70°), in order of rising 2θ:
Position (°2θ)  I/Imax  index
13.42  100  0 1 0
27.02  52  0 2 0
31.13  15  1 1 1
36.41  33  2 0 -1
36.77  28  1 -1 2
37.18  28  1 1 -3
38.97  15  2 1 -1
45.92  25  -2 2 1

Crystal structure
```
data_Rb2In2Ag3
_chemical_formula_sum 'Rb2 In2 Ag3'
_cell_length_a 4.936
_cell_length_b 6.731
_cell_length_c 7.557
_cell_angle_alpha 100.71
_cell_angle_beta 108.35
_cell_angle_gamma 90.22
_space_group_name_H-M_alt 'P -1'
_space_group_IT_number 2
loop_
_space_group_symop_operation_xyz
'x,y,z'
'-x,-y,-z'
loop_
_atom_site_label
_atom_site_fract_x
_atom_site_fract_y
_atom_site_fract_z
_atom_site_occupancy
Rb1 0.142 0.048 0.270 1
In1 0.393 0.460 0.787 1
Ag1 0.000 0.500 0.000 1
Ag2 0.208 0.560 0.417 1
```